Calculated X-ray powder pattern
Compound: AcPu2MgO8
Radiation: Cu Kα (λ = 1.5418 Å)
Structure: a structure optimized by DFT (PBE)
Peak positions follow from Bragg's law for the DFT cell and can differ from measured ones.

Largest 12 diffraction maxima, by intensity, 2θ = 5–70°:
hkl, 2θ/deg, I_rel
1 1 2, 28.6, 100
2 0 4, 47.7, 33
3 1 2, 55.9, 32
1 0 1, 18.3, 26
2 0 0, 32.8, 24
2 2 0, 47.0, 17
1 1 6, 57.2, 15
0 0 4, 33.7, 11
2 2 4, 59.1, 11
2 1 1, 37.8, 8
1 0 3, 30.1, 7
1 1 0, 23.0, 6

Crystal structure
```
data_AcPu2MgO8
_chemical_formula_sum 'Ac2 Pu4 Mg2 O16'
_space_group_name_H-M_alt 'I -4'
_space_group_IT_number 82
_space_group_name_Hall 'I -4'
_cell_length_a 5.4667
_cell_length_b 5.4667
_cell_length_c 10.6245
_cell_angle_alpha 90.00
_cell_angle_beta 90.00
_cell_angle_gamma 90.00
loop_
_atom_site_label
_atom_site_fract_x
_atom_site_fract_y
_atom_site_fract_z
Ac1 0.0000 0.0000 0.0000
Pu1 0.0000 0.0000 0.5000
Pu2 0.0000 0.5000 0.7500
Mg1 0.0000 0.5000 0.2500
O1 0.1931 0.7335 0.6152
O2 0.2158 0.7487 0.3577
```


Calculated X-ray powder pattern
Compound: Rb4Ac3MgO8
Radiation: Cu Kα (λ = 1.5418 Å)
Structure: a structure optimized by DFT (PBE)
Peak positions follow from Bragg's law for the DFT cell and can differ from measured ones.

Largest 12 diffraction maxima, by intensity, 2θ = 5–70°:
hkl, 2θ/deg, I_rel
2 2 -2, 33.4, 100
2 2 0, 29.0, 90
0 0 2, 26.8, 60
4 0 0, 31.6, 59
0 0 1, 13.3, 52
4 0 -2, 28.5, 48
2 2 2, 45.5, 39
6 2 -2, 47.8, 37
2 2 -4, 54.5, 21
1 1 0, 14.4, 20
4 4 0, 60.1, 18
4 0 -4, 46.3, 18

Crystal structure
```
data_Rb4Ac3MgO8
_chemical_formula_sum 'Rb8 Ac6 Mg2 O16'
_space_group_name_H-M_alt 'C 1 2/m 1'
_space_group_IT_number 12
_space_group_name_Hall '-C 2y'
_cell_length_a 13.3676
_cell_length_b 7.3464
_cell_length_c 7.8642
_cell_angle_alpha 90.00
_cell_angle_beta 122.14
_cell_angle_gamma 90.00
loop_
_atom_site_label
_atom_site_fract_x
_atom_site_fract_y
_atom_site_fract_z
Rb1 0.0000 0.0000 0.0000
Rb2 0.0000 0.5000 0.0000
Rb3 0.2500 0.2500 0.0000
Ac1 0.0000 0.0000 0.5000
Ac2 0.2500 0.2500 0.5000
Mg1 0.0000 0.5000 0.5000
O1 0.0224 0.2749 0.3323
O2 0.2252 0.0000 0.6903
O3 0.2448 0.0000 0.2859
```


Calculated X-ray powder pattern
Compound: Ac2MgSbO6
Radiation: Cu Kα (λ = 1.5418 Å)
Structure: a structure optimized by DFT (PBE)
Peak positions follow from Bragg's law for the DFT cell and can differ from measured ones.

Largest 12 diffraction maxima, by intensity, 2θ = 5–70°:
hkl, 2θ/deg, I_rel
1 1 1, 30.1, 100
2 0 0, 30.8, 48
3 1 1, 54.3, 40
2 0 1, 37.3, 27
2 2 0, 44.1, 27
1 1 0, 21.6, 24
2 0 2, 52.9, 23
0 0 1, 20.6, 17
2 2 2, 62.5, 15
0 0 2, 42.0, 13
1 1 2, 47.7, 10
1 1 3, 69.4, 9

Crystal structure
```
data_Ac2MgSbO6
_chemical_formula_sum 'Ac2 Mg1 Sb1 O6'
_space_group_name_H-M_alt 'P 4 m m'
_space_group_IT_number 99
_space_group_name_Hall 'P 4 -2'
_cell_length_a 5.8094
_cell_length_b 5.8094
_cell_length_c 4.3046
_cell_angle_alpha 90.00
_cell_angle_beta 90.00
_cell_angle_gamma 90.00
loop_
_atom_site_label
_atom_site_fract_x
_atom_site_fract_y
_atom_site_fract_z
Ac1 0.0000 0.5000 0.0000
Mg1 0.0000 0.0000 0.5545
Sb1 0.5000 0.5000 0.5513
O1 0.0000 0.0000 0.0782
O2 0.2488 0.2488 0.6120
O3 0.5000 0.5000 0.0589
```


Calculated X-ray powder pattern
Compound: Ac2MgSnO6
Radiation: Cu Kα (λ = 1.5418 Å)
Structure: a structure optimized by DFT (PBE)
Peak positions follow from Bragg's law for the DFT cell and can differ from measured ones.

Largest 12 diffraction maxima, by intensity, 2θ = 5–70°:
hkl, 2θ/deg, I_rel
1 1 1, 30.7, 100
0 0 2, 21.6, 32
0 0 4, 44.0, 31
2 0 -6, 54.7, 28
0 2 4, 54.6, 22
2 0 -2, 30.8, 20
4 0 -4, 64.0, 15
2 0 0, 37.9, 14
1 0 -2, 18.7, 9
3 1 -3, 49.6, 8
2 2 -4, 49.5, 5
2 0 -4, 37.9, 5

Crystal structure
```
data_Ac2MgSnO6
_chemical_formula_sum 'Ac4 Mg2 Sn2 O12'
_space_group_name_H-M_alt 'P 1 21/c 1'
_space_group_IT_number 14
_space_group_name_Hall '-P 2ybc'
_cell_length_a 5.8122
_cell_length_b 5.8326
_cell_length_c 10.0649
_cell_angle_alpha 90.00
_cell_angle_beta 125.24
_cell_angle_gamma 90.00
loop_
_atom_site_label
_atom_site_fract_x
_atom_site_fract_y
_atom_site_fract_z
Ac1 0.2420 0.0310 0.2496
Mg1 0.0000 0.0000 0.5000
Sn1 0.5000 0.0000 0.0000
O1 0.1775 0.2163 0.9584
O2 0.2414 0.7185 0.9572
O3 0.3292 0.0193 0.7514
```


Calculated X-ray powder pattern
Compound: AcMg2Ti2O7
Radiation: Cu Kα (λ = 1.5418 Å)
Structure: a structure optimized by DFT (PBE)
Peak positions follow from Bragg's law for the DFT cell and can differ from measured ones.

Largest 12 diffraction maxima, by intensity, 2θ = 5–70°:
hkl, 2θ/deg, I_rel
1 0 3, 27.1, 100
0 0 2, 10.5, 84
1 1 2, 33.0, 57
1 0 5, 34.7, 55
2 0 0, 44.6, 41
1 0 1, 22.5, 33
2 1 3, 53.0, 32
1 1 0, 31.1, 30
2 1 5, 57.7, 26
1 1 6, 45.3, 23
2 0 8, 63.8, 23
1 1 4, 38.0, 20

Crystal structure
```
data_AcMg2Ti2O7
_chemical_formula_sum 'Ac2 Mg4 Ti4 O14'
_space_group_name_H-M_alt 'I 4/m m m'
_space_group_IT_number 139
_space_group_name_Hall '-I 4 2'
_cell_length_a 4.0610
_cell_length_b 4.0610
_cell_length_c 16.7858
_cell_angle_alpha 90.00
_cell_angle_beta 90.00
_cell_angle_gamma 90.00
loop_
_atom_site_label
_atom_site_fract_x
_atom_site_fract_y
_atom_site_fract_z
Ac1 0.0000 0.0000 0.0000
Mg1 0.0000 0.5000 0.2500
Ti1 0.0000 0.0000 0.3849
O1 0.0000 0.0000 0.2651
O2 0.0000 0.0000 0.5000
O3 0.0000 0.5000 0.1135
```


Calculated X-ray powder pattern
Compound: Ac2MgZrO6
Radiation: Cu Kα (λ = 1.5418 Å)
Structure: a structure optimized by DFT (PBE)
Peak positions follow from Bragg's law for the DFT cell and can differ from measured ones.

Largest 12 diffraction maxima, by intensity, 2θ = 5–70°:
hkl, 2θ/deg, I_rel
1 1 1, 30.5, 100
0 0 2, 21.4, 53
2 0 -2, 30.6, 25
2 2 -2, 43.7, 24
0 2 0, 30.4, 23
2 0 -6, 54.4, 17
2 0 2, 54.2, 16
2 0 -4, 37.7, 16
1 3 1, 54.1, 16
0 2 2, 37.5, 14
0 0 4, 43.8, 13
3 1 -1, 54.3, 12

Crystal structure
```
data_Ac2MgZrO6
_chemical_formula_sum 'Ac4 Mg2 Zr2 O12'
_space_group_name_H-M_alt 'P 1 21/c 1'
_space_group_IT_number 14
_space_group_name_Hall '-P 2ybc'
_cell_length_a 5.8413
_cell_length_b 5.8873
_cell_length_c 10.1144
_cell_angle_alpha 90.00
_cell_angle_beta 125.12
_cell_angle_gamma 90.00
loop_
_atom_site_label
_atom_site_fract_x
_atom_site_fract_y
_atom_site_fract_z
Ac1 0.2406 0.0353 0.2490
Mg1 0.0000 0.0000 0.5000
Zr1 0.5000 0.0000 0.0000
O1 0.1695 0.2116 0.9559
O2 0.2416 0.7136 0.9537
O3 0.3350 0.0241 0.7508
```


Calculated X-ray powder pattern
Compound: Ac3Mg2ZrO9
Radiation: Cu Kα (λ = 1.5418 Å)
Structure: a structure optimized by DFT (PBE)
Peak positions follow from Bragg's law for the DFT cell and can differ from measured ones.

Largest 12 diffraction maxima, by intensity, 2θ = 5–70°:
hkl, 2θ/deg, I_rel
0 1 2, 30.7, 100
1 1 0, 31.1, 97
1 0 1, 21.7, 90
2 0 2, 44.3, 58
0 2 1, 38.2, 44
1 2 2, 55.1, 41
2 1 1, 50.0, 22
3 0 0, 55.3, 20
2 2 0, 64.8, 18
1 1 3, 49.6, 13
1 0 4, 54.4, 13
0 2 4, 64.0, 13

Crystal structure
```
data_Ac3Mg2ZrO9
_chemical_formula_sum 'Ac3 Mg2 Zr1 O9'
_space_group_name_H-M_alt 'P -3 m 1'
_space_group_IT_number 164
_space_group_name_Hall '-P 3 2"'
_cell_length_a 5.7576
_cell_length_b 5.7576
_cell_length_c 7.1666
_cell_angle_alpha 90.00
_cell_angle_beta 90.00
_cell_angle_gamma 120.00
loop_
_atom_site_label
_atom_site_fract_x
_atom_site_fract_y
_atom_site_fract_z
Ac1 0.0000 0.0000 0.0000
Ac2 0.3333 0.6667 0.7036
Mg1 0.3333 0.6667 0.1698
Zr1 0.0000 0.0000 0.5000
O1 0.0000 0.5000 0.0000
O2 0.1658 0.3316 0.3244
```